Diffraction record for UZn20Ir2. The powder XRD pattern is theoretical, not measured: it uses a structure optimized by DFT (GGA-PBE) and Cu Kα, 1.54184 Å.

Structure:
Unit cell a=14.285 b=14.285 c=14.285 alpha=90.00 beta=90.00 gamma=90.00
Space group Fd-3m (No. 227, origin choice 2)
One atom of each set of equivalent atoms:
1 U 0.125 0.125 0.125 (multiplicity 8)
2 Zn 0.000 0.000 0.000 (multiplicity 16)
3 Zn 0.014 0.375 0.875 (multiplicity 48)
4 Zn 0.061 0.061 0.322 (multiplicity 96)
5 Ir 0.000 0.000 0.500 (multiplicity 16)

Peak list (10 most intense, 10° ≤ 2θ ≤ 80°, in order of falling intensity)
- 2.153 Å, 41.95 deg, I = 100
- 2.178 Å, 41.45 deg, I = 89
- 4.307 Å, 20.62 deg, I = 59
- 2.415 Å, 37.24 deg, I = 47
- 2.259 Å, 39.92 deg, I = 46
- 1.263 Å, 75.26 deg, I = 45
- 2.525 Å, 35.55 deg, I = 44
- 1.375 Å, 68.23 deg, I = 27
- 1.683 Å, 54.51 deg, I = 23
- 1.212 Å, 79.03 deg, I = 23